For TbAl3Ag3, a DFT-relaxed cell (PBE, Alexandria) gives the theoretical XRD peak list in this record (CuKα).
Intensities are scaled so that the largest is 100.

Principal peaks in the range 15 to 90 degrees two-theta, by angle:
2θ/deg	Rel. int.
16.92	80
26.09	22
27.89	95
34.38	17
35.82	22
38.59	87
41.06	100
42.41	32
44.77	16
57.47	13
57.61	21
71.51	19

Structural model:
```
data_TbAl3Ag3
_space_group_name_H-M_alt 'R -3'
_space_group_IT_number 148
_space_group_name_Hall '-R 3'
_cell_length_a 8.0812
_cell_length_b 8.0812
_cell_length_c 15.7245
_cell_angle_alpha 90.00
_cell_angle_beta 90.00
_cell_angle_gamma 120.00
loop_
_atom_site_label
_atom_site_fract_x
_atom_site_fract_y
_atom_site_fract_z
Tb1 0.0000 0.0000 0.1783
Al1 0.9997 0.3408 0.2897
Ag1 0.0054 0.7156 0.5522
```

---

For Tb3AlAg3Te8, a DFT-relaxed cell (PBE, Alexandria) gives the theoretical XRD peak list in this record (CuKα).
Intensities are scaled so that the largest is 100.

Principal peaks in the range 15 to 90 degrees two-theta, by angle:
2θ/deg	Rel. int.
29.19	100
41.36	37
42.15	36
51.42	19
52.75	6
60.50	8
68.03	15
69.12	10
69.22	5
75.43	5
75.93	7
77.57	6

Structural model:
```
data_Tb3AlAg3Te8
_space_group_name_H-M_alt 'C 1 2/m 1'
_space_group_IT_number 12
_space_group_name_Hall '-C 2y'
_cell_length_a 14.761
_cell_length_b 8.732
_cell_length_c 8.588
_cell_angle_alpha 90.00
_cell_angle_beta 124.09
_cell_angle_gamma 90.00
loop_
_atom_site_label
_atom_site_fract_x
_atom_site_fract_y
_atom_site_fract_z
Tb1 0.000 0.000 0.000
Tb2 0.250 0.250 0.500
Al1 0.000 0.500 0.000
Ag1 0.000 0.500 0.500
Ag2 0.250 0.250 0.000
Te1 0.004 0.270 0.767
Te2 0.234 0.500 0.227
Te3 0.249 0.500 0.751
```

---

For AlTcAg2, a DFT-relaxed cell (PBE, Alexandria) gives the theoretical XRD peak list in this record (CuKα).
Intensities are scaled so that the largest is 100.

Principal peaks in the range 15 to 90 degrees two-theta, by angle:
2θ/deg	Rel. int.
19.28	26
20.19	20
38.82	100
39.13	98
41.04	43
47.33	56
64.41	42
73.29	15
73.48	14
82.07	21
82.65	21
83.32	10

Structural model:
```
data_AlTcAg2
_space_group_name_H-M_alt 'C m m m'
_space_group_IT_number 65
_space_group_name_Hall '-C 2 2'
_cell_length_a 5.404
_cell_length_b 8.797
_cell_length_c 2.730
_cell_angle_alpha 90.00
_cell_angle_beta 90.00
_cell_angle_gamma 90.00
loop_
_atom_site_label
_atom_site_fract_x
_atom_site_fract_y
_atom_site_fract_z
Al1 0.000 0.000 0.000
Tc1 0.000 0.500 0.000
Ag1 0.250 0.250 0.500
```

---

For AlAg2Te, a DFT-relaxed cell (PBE, Alexandria) gives the theoretical XRD peak list in this record (CuKα).
Intensities are scaled so that the largest is 100.

Principal peaks in the range 15 to 90 degrees two-theta, by angle:
2θ/deg	Rel. int.
27.86	31
28.89	48
31.74	21
33.84	100
40.32	29
41.21	17
41.56	26
43.48	39
44.72	19
49.47	25
52.28	15
64.40	13

Structural model:
```
data_AlAg2Te
_space_group_name_H-M_alt 'C 1 m 1'
_space_group_IT_number 8
_space_group_name_Hall 'C -2y'
_cell_length_a 8.729
_cell_length_b 3.500
_cell_length_c 6.603
_cell_angle_alpha 90.00
_cell_angle_beta 114.48
_cell_angle_gamma 90.00
loop_
_atom_site_label
_atom_site_fract_x
_atom_site_fract_y
_atom_site_fract_z
Al1 0.000 0.000 0.000
Ag1 0.046 0.500 0.371
Ag2 0.259 0.500 0.143
Te1 0.355 0.000 0.637
```

---

For AlAg8Te6, a DFT-relaxed cell (PBE, Alexandria) gives the theoretical XRD peak list in this record (CuKα).
Intensities are scaled so that the largest is 100.

Principal peaks in the range 15 to 90 degrees two-theta, by angle:
2θ/deg	Rel. int.
24.74	70
25.52	37
26.08	70
26.32	76
32.95	37
37.79	47
38.23	39
39.18	34
39.38	100
39.94	40
42.56	45
43.73	77

Structural model:
```
data_AlAg8Te6
_space_group_name_H-M_alt 'P m n 21'
_space_group_IT_number 31
_space_group_name_Hall 'P 2ac -2'
_cell_length_a 8.496
_cell_length_b 8.380
_cell_length_c 11.498
_cell_angle_alpha 90.00
_cell_angle_beta 90.00
_cell_angle_gamma 90.00
loop_
_atom_site_label
_atom_site_fract_x
_atom_site_fract_y
_atom_site_fract_z
Al1 0.000 0.231 0.000
Ag1 0.000 0.734 0.979
Ag2 0.000 0.892 0.513
Ag3 0.179 0.005 0.720
Ag4 0.218 0.354 0.634
Ag5 0.222 0.406 0.353
Te1 0.000 0.226 0.486
Te2 0.000 0.470 0.149
Te3 0.000 0.716 0.736
Te4 0.000 0.986 0.135
Te5 0.244 0.747 0.379
```

---

For AlAgTe, a DFT-relaxed cell (PBE, Alexandria) gives the theoretical XRD peak list in this record (CuKα).
Intensities are scaled so that the largest is 100.

Principal peaks in the range 15 to 90 degrees two-theta, by angle:
2θ/deg	Rel. int.
25.29	79
26.60	39
33.58	49
33.85	48
35.90	24
43.32	100
48.43	34
56.10	19
66.80	21
67.06	11
70.15	14
86.76	11

Structural model:
```
data_AlAgTe
_space_group_name_H-M_alt 'C 1 2/m 1'
_space_group_IT_number 12
_space_group_name_Hall '-C 2y'
_cell_length_a 5.296
_cell_length_b 5.337
_cell_length_c 10.052
_cell_angle_alpha 90.00
_cell_angle_beta 90.13
_cell_angle_gamma 90.00
loop_
_atom_site_label
_atom_site_fract_x
_atom_site_fract_y
_atom_site_fract_z
Al1 0.249 0.000 0.286
Ag1 0.250 0.000 0.549
Te1 0.248 0.500 0.171
```

---

For AlAg2Te, a DFT-relaxed cell (PBE, Alexandria) gives the theoretical XRD peak list in this record (CuKα).
Intensities are scaled so that the largest is 100.

Principal peaks in the range 15 to 90 degrees two-theta, by angle:
2θ/deg	Rel. int.
23.38	15
27.92	23
30.36	15
33.30	96
38.67	100
45.68	19
47.81	34
63.10	48
68.32	14
79.69	14
82.89	15
87.63	20

Structural model:
```
data_AlAg2Te
_space_group_name_H-M_alt 'P 4 m m'
_space_group_IT_number 99
_space_group_name_Hall 'P 4 -2'
_cell_length_a 3.805
_cell_length_b 3.805
_cell_length_c 5.889
_cell_angle_alpha 90.00
_cell_angle_beta 90.00
_cell_angle_gamma 90.00
loop_
_atom_site_label
_atom_site_fract_x
_atom_site_fract_y
_atom_site_fract_z
Al1 0.000 0.000 0.000
Ag1 0.000 0.000 0.550
Ag2 0.500 0.500 0.725
Te1 0.500 0.500 0.210
```

---

For Al4AgTe7, a DFT-relaxed cell (PBE, Alexandria) gives the theoretical XRD peak list in this record (CuKα).
Intensities are scaled so that the largest is 100.

Principal peaks in the range 15 to 90 degrees two-theta, by angle:
2θ/deg	Rel. int.
23.44	29
23.84	25
24.92	99
25.07	68
26.59	77
28.06	100
35.64	40
41.29	32
42.20	55
44.93	29
45.87	43
49.63	49

Structural model:
```
data_Al4AgTe7
_space_group_name_H-M_alt 'P m n 21'
_space_group_IT_number 31
_space_group_name_Hall 'P 2ac -2'
_cell_length_a 16.074
_cell_length_b 7.591
_cell_length_c 7.146
_cell_angle_alpha 90.00
_cell_angle_beta 90.00
_cell_angle_gamma 90.00
loop_
_atom_site_label
_atom_site_fract_x
_atom_site_fract_y
_atom_site_fract_z
Al1 0.129 0.173 0.000
Al2 0.241 0.331 0.483
Ag1 0.000 0.664 0.905
Te1 0.000 0.312 0.827
Te2 0.110 0.158 0.364
Te3 0.139 0.859 0.834
Te4 0.236 0.664 0.360
```